This entry pairs a crystal structure of Ho3TmLu2Sb2Os with its simulated powder X-ray diffraction pattern. Radiation: copper Kα. Structure: a cell relaxed with GGA-PBE.
Kinematic intensities with the Lorentz-polarization factor, no thermal factor.

```
Ho3TmLu2Sb2Os
1.0
4.171 0.000 0.000
0.000 7.019 4.061
0.000 -7.019 4.061
Ho Tm Lu Sb Os
3 1 2 2 1
direct
0.000 0.000 0.000
0.000 0.521 0.760
0.000 0.760 0.521
0.500 0.370 0.370
0.500 0.148 0.760
0.500 0.760 0.148
0.000 0.093 0.427
0.000 0.427 0.093
0.500 0.762 0.762
```

Principal peaks in the range 5° ≤ 2θ ≤ 70°, by angle:
d = 7.027 Å, 12.60 deg, rel. 20; d = 2.908 Å, 30.74 deg, rel. 100; d = 2.687 Å, 33.34 deg, rel. 78; d = 2.656 Å, 33.75 deg, rel. 50; d = 2.342 Å, 38.43 deg, rel. 42; d = 2.240 Å, 40.26 deg, rel. 47; d = 2.086 Å, 43.39 deg, rel. 27; d = 1.766 Å, 51.78 deg, rel. 12; d = 1.640 Å, 56.07 deg, rel. 24; d = 1.558 Å, 59.33 deg, rel. 23; d = 1.504 Å, 61.66 deg, rel. 22; d = 1.503 Å, 61.74 deg, rel. 11


This entry pairs a crystal structure of Ba2Nb6Te2O21 with its simulated powder X-ray diffraction pattern. Radiation: copper Kα. Structure: a cell relaxed with GGA-PBE.
Kinematic intensities with the Lorentz-polarization factor, no thermal factor.

```
Ba2Nb6Te2O21
1.0
8.435 -2.854 0.000
8.435 2.854 0.000
-1.146 0.000 9.623
Ba Nb Te O
2 6 2 21
direct
0.140 0.140 0.026
0.860 0.860 0.974
0.099 0.099 0.416
0.323 0.323 0.328
0.481 0.481 0.838
0.519 0.519 0.162
0.677 0.677 0.672
0.901 0.901 0.584
0.276 0.276 0.751
0.724 0.724 0.249
0.000 0.000 0.500
0.022 0.540 0.166
0.102 0.607 0.445
0.176 0.691 0.721
0.209 0.209 0.349
0.272 0.728 0.000
0.309 0.824 0.279
0.358 0.358 0.902
0.393 0.898 0.555
0.417 0.417 0.217
0.460 0.978 0.834
0.540 0.022 0.166
0.583 0.583 0.783
0.607 0.102 0.445
0.642 0.642 0.098
0.691 0.176 0.721
0.728 0.272 0.000
0.791 0.791 0.651
0.824 0.309 0.279
0.898 0.393 0.555
0.978 0.460 0.834
```

Principal peaks in the range 5° ≤ 2θ ≤ 70°, by angle:
d = 3.581 Å, 24.86 deg, rel. 78; d = 3.527 Å, 25.25 deg, rel. 100; d = 3.362 Å, 26.51 deg, rel. 56; d = 3.208 Å, 27.81 deg, rel. 41; d = 2.888 Å, 30.96 deg, rel. 70; d = 2.853 Å, 31.36 deg, rel. 68; d = 2.805 Å, 31.90 deg, rel. 50; d = 2.176 Å, 41.51 deg, rel. 28; d = 2.028 Å, 44.68 deg, rel. 35; d = 1.723 Å, 53.16 deg, rel. 33; d = 1.679 Å, 54.67 deg, rel. 23; d = 1.408 Å, 66.41 deg, rel. 19


This entry pairs a crystal structure of Pr2Ga8Pt with its simulated powder X-ray diffraction pattern. Radiation: copper Kα. Structure: a cell relaxed with GGA-PBE.
Kinematic intensities with the Lorentz-polarization factor, no thermal factor.

```
Pr2Ga8Pt
1.0
4.427 0.000 0.000
0.000 4.427 0.000
0.000 0.000 11.426
Pr Ga Pt
2 8 1
direct
0.000 0.000 0.192
0.000 0.000 0.808
0.000 0.500 0.000
0.000 0.500 0.378
0.000 0.500 0.622
0.500 0.000 0.000
0.500 0.000 0.378
0.500 0.000 0.622
0.500 0.500 0.193
0.500 0.500 0.807
0.000 0.000 0.500
```

Principal peaks in the range 5° ≤ 2θ ≤ 70°, by angle:
d = 11.426 Å, 7.74 deg, rel. 12; d = 4.427 Å, 20.06 deg, rel. 30; d = 4.128 Å, 21.53 deg, rel. 10; d = 2.887 Å, 30.97 deg, rel. 19; d = 2.745 Å, 32.62 deg, rel. 15; d = 2.418 Å, 37.18 deg, rel. 100; d = 2.285 Å, 39.43 deg, rel. 9; d = 2.213 Å, 40.77 deg, rel. 52; d = 2.110 Å, 42.86 deg, rel. 12; d = 1.757 Å, 52.07 deg, rel. 9; d = 1.590 Å, 58.01 deg, rel. 11; d = 1.565 Å, 59.02 deg, rel. 17


This entry pairs a crystal structure of Cu9Ge with its simulated powder X-ray diffraction pattern. Radiation: copper Kα. Structure: a cell relaxed with GGA-PBE.
Kinematic intensities with the Lorentz-polarization factor, no thermal factor.

```
Cu9Ge
1.0
2.580 0.000 0.000
0.000 2.580 0.000
0.000 0.000 48.810
Cu Ge
18 2
direct
0.250 0.250 0.018
0.250 0.250 0.091
0.250 0.250 0.164
0.250 0.250 0.237
0.250 0.250 0.312
0.250 0.250 0.726
0.250 0.250 0.800
0.250 0.250 0.873
0.250 0.250 0.946
0.750 0.750 0.054
0.750 0.750 0.127
0.750 0.750 0.200
0.750 0.750 0.274
0.750 0.750 0.688
0.750 0.750 0.763
0.750 0.750 0.836
0.750 0.750 0.909
0.750 0.750 0.982
0.250 0.250 0.646
0.750 0.750 0.354
```

Principal peaks in the range 5° ≤ 2θ ≤ 70°, by angle:
d = 16.270 Å, 5.43 deg, rel. 37; d = 9.762 Å, 9.06 deg, rel. 5; d = 8.135 Å, 10.88 deg, rel. 5; d = 2.329 Å, 38.67 deg, rel. 3; d = 2.281 Å, 39.51 deg, rel. 4; d = 2.179 Å, 41.44 deg, rel. 7; d = 2.126 Å, 42.51 deg, rel. 69; d = 2.074 Å, 43.64 deg, rel. 100; d = 1.824 Å, 50.00 deg, rel. 53; d = 1.819 Å, 50.14 deg, rel. 4; d = 1.808 Å, 50.48 deg, rel. 18; d = 1.743 Å, 52.49 deg, rel. 6


This entry pairs a crystal structure of CdCu17 with its simulated powder X-ray diffraction pattern. Radiation: copper Kα. Structure: a cell relaxed with GGA-PBE.
Kinematic intensities with the Lorentz-polarization factor, no thermal factor.

```
CdCu17
1.0
4.403 0.000 0.000
0.000 5.102 0.000
-0.007 0.000 31.218
Cd Cu
2 34
direct
0.167 0.250 0.208
0.833 0.750 0.792
0.000 0.000 0.500
0.000 0.002 0.300
0.000 0.498 0.300
0.000 0.500 0.500
0.000 0.502 0.700
0.000 0.998 0.700
0.165 0.750 0.233
0.166 0.750 0.633
0.167 0.250 0.433
0.167 0.750 0.433
0.168 0.250 0.633
0.333 0.000 0.366
0.333 0.005 0.767
0.333 0.495 0.767
0.333 0.500 0.366
0.334 0.501 0.566
0.334 0.999 0.566
0.499 0.750 0.300
0.499 0.750 0.701
0.500 0.250 0.500
0.500 0.750 0.500
0.501 0.250 0.299
0.501 0.250 0.700
0.666 0.001 0.434
0.666 0.499 0.434
0.667 0.000 0.634
0.667 0.500 0.634
0.667 0.505 0.233
0.667 0.995 0.233
0.832 0.750 0.367
0.833 0.250 0.567
0.833 0.750 0.567
0.834 0.250 0.367
0.835 0.250 0.767
```

Principal peaks in the range 5° ≤ 2θ ≤ 70°, by angle:
d = 15.609 Å, 5.66 deg, rel. 100; d = 7.805 Å, 11.34 deg, rel. 13; d = 2.230 Å, 40.45 deg, rel. 11; d = 2.124 Å, 42.56 deg, rel. 18; d = 2.119 Å, 42.67 deg, rel. 9; d = 2.081 Å, 43.48 deg, rel. 70; d = 2.076 Å, 43.60 deg, rel. 25; d = 2.032 Å, 44.59 deg, rel. 10; d = 1.951 Å, 46.55 deg, rel. 5; d = 1.861 Å, 48.94 deg, rel. 20; d = 1.801 Å, 50.68 deg, rel. 41; d = 1.741 Å, 52.55 deg, rel. 7


This entry pairs a crystal structure of K2Ta2C with its simulated powder X-ray diffraction pattern. Radiation: copper Kα. Structure: a cell relaxed with GGA-PBE.
Kinematic intensities with the Lorentz-polarization factor, no thermal factor.

```
K2Ta2C
1.0
3.457 0.000 0.000
-1.728 2.994 0.000
0.000 0.000 25.382
K Ta C
4 4 2
direct
0.333 0.667 0.125
0.333 0.667 0.375
0.667 0.333 0.625
0.667 0.333 0.875
0.000 0.000 0.000
0.000 0.000 0.500
0.333 0.667 0.750
0.667 0.333 0.250
0.000 0.000 0.250
0.000 0.000 0.750
```

Principal peaks in the range 5° ≤ 2θ ≤ 70°, by angle:
d = 6.345 Å, 13.96 deg, rel. 100; d = 3.173 Å, 28.13 deg, rel. 50; d = 2.973 Å, 30.06 deg, rel. 13; d = 2.914 Å, 30.68 deg, rel. 77; d = 2.822 Å, 31.70 deg, rel. 45; d = 2.708 Å, 33.08 deg, rel. 19; d = 2.579 Å, 34.79 deg, rel. 35; d = 2.444 Å, 36.78 deg, rel. 48; d = 1.936 Å, 46.93 deg, rel. 25; d = 1.728 Å, 52.98 deg, rel. 30; d = 1.668 Å, 55.07 deg, rel. 19; d = 1.518 Å, 61.05 deg, rel. 32


This entry pairs a crystal structure of Ta2Nb4Bi3C3 with its simulated powder X-ray diffraction pattern. Radiation: copper Kα. Structure: a cell relaxed with GGA-PBE.
Kinematic intensities with the Lorentz-polarization factor, no thermal factor.

```
Ta2Nb4Bi3C3
1.0
5.122 -2.953 0.000
5.122 2.953 0.000
-3.394 0.000 13.542
Ta Nb Bi C
4 8 6 6
direct
0.025 0.852 0.576
0.148 0.975 0.924
0.852 0.025 0.076
0.975 0.148 0.424
0.192 0.367 0.078
0.314 0.467 0.422
0.367 0.192 0.578
0.467 0.314 0.922
0.533 0.686 0.078
0.633 0.808 0.422
0.686 0.533 0.578
0.808 0.633 0.922
0.084 0.247 0.750
0.247 0.084 0.250
0.415 0.585 0.750
0.585 0.415 0.250
0.753 0.916 0.750
0.916 0.753 0.250
0.000 0.500 0.500
0.162 0.677 0.000
0.323 0.838 0.500
0.500 0.000 0.000
0.677 0.162 0.500
0.838 0.323 0.000
```

Principal peaks in the range 5° ≤ 2θ ≤ 70°, by angle:
d = 3.386 Å, 26.32 deg, rel. 4; d = 2.955 Å, 30.24 deg, rel. 25; d = 2.887 Å, 30.97 deg, rel. 6; d = 2.473 Å, 36.33 deg, rel. 100; d = 2.257 Å, 39.94 deg, rel. 16; d = 1.794 Å, 50.91 deg, rel. 14; d = 1.706 Å, 53.72 deg, rel. 23; d = 1.478 Å, 62.89 deg, rel. 3; d = 1.405 Å, 66.54 deg, rel. 6; d = 1.404 Å, 66.62 deg, rel. 11; d = 1.362 Å, 68.96 deg, rel. 10; d = 1.360 Å, 69.04 deg, rel. 10


This entry pairs a crystal structure of NiCl2 with its simulated powder X-ray diffraction pattern. Radiation: copper Kα. Structure: a cell relaxed with GGA-PBE.
Kinematic intensities with the Lorentz-polarization factor, no thermal factor.

```
NiCl2
1.0
3.405 0.000 0.000
0.000 5.977 0.000
0.000 0.000 12.166
Ni Cl
4 8
direct
0.000 0.053 0.000
0.000 0.446 0.498
0.500 0.554 0.998
0.500 0.947 0.500
0.000 0.114 0.608
0.000 0.388 0.108
0.000 0.721 0.890
0.000 0.781 0.391
0.500 0.219 0.891
0.500 0.279 0.390
0.500 0.612 0.608
0.500 0.886 0.108
```

Principal peaks in the range 5° ≤ 2θ ≤ 70°, by angle:
d = 6.083 Å, 14.56 deg, rel. 100; d = 2.902 Å, 30.81 deg, rel. 7; d = 2.875 Å, 31.11 deg, rel. 14; d = 2.682 Å, 33.41 deg, rel. 14; d = 2.661 Å, 33.69 deg, rel. 28; d = 2.406 Å, 37.38 deg, rel. 13; d = 2.390 Å, 37.63 deg, rel. 35; d = 2.132 Å, 42.40 deg, rel. 12; d = 1.879 Å, 48.44 deg, rel. 23; d = 1.720 Å, 53.27 deg, rel. 12; d = 1.703 Å, 53.84 deg, rel. 16; d = 1.655 Å, 55.53 deg, rel. 8


This entry pairs a crystal structure of DyHoAsBr2 with its simulated powder X-ray diffraction pattern. Radiation: copper Kα. Structure: a cell relaxed with GGA-PBE.
Kinematic intensities with the Lorentz-polarization factor, no thermal factor.

```
DyHoAsBr2
1.0
4.045 0.000 0.000
-2.023 3.503 0.000
0.000 0.000 10.009
Dy Ho As Br
1 1 1 2
direct
0.000 0.000 0.000
0.667 0.333 0.686
0.333 0.667 0.842
0.000 0.000 0.508
0.667 0.333 0.179
```

Principal peaks in the range 5° ≤ 2θ ≤ 70°, by angle:
d = 10.009 Å, 8.84 deg, rel. 49; d = 5.004 Å, 17.72 deg, rel. 6; d = 3.503 Å, 25.42 deg, rel. 13; d = 3.307 Å, 26.96 deg, rel. 11; d = 2.870 Å, 31.16 deg, rel. 100; d = 2.416 Å, 37.22 deg, rel. 9; d = 2.036 Å, 44.50 deg, rel. 33; d = 2.023 Å, 44.81 deg, rel. 33; d = 1.983 Å, 45.76 deg, rel. 6; d = 1.668 Å, 55.05 deg, rel. 5; d = 1.653 Å, 55.59 deg, rel. 19; d = 1.435 Å, 64.99 deg, rel. 11


This entry pairs a crystal structure of Er2AsP4 with its simulated powder X-ray diffraction pattern. Radiation: copper Kα. Structure: a cell relaxed with GGA-PBE.
Kinematic intensities with the Lorentz-polarization factor, no thermal factor.

```
Er2AsP4
1.0
4.079 -5.619 0.000
4.079 5.619 0.000
0.000 0.000 3.650
Er As P
2 1 4
direct
0.000 0.500 0.000
0.500 0.000 0.000
0.000 0.000 0.500
0.222 0.222 0.000
0.247 0.753 0.500
0.753 0.247 0.500
0.778 0.778 0.000
```

Principal peaks in the range 5° ≤ 2θ ≤ 70°, by angle:
d = 6.601 Å, 13.41 deg, rel. 26; d = 5.619 Å, 15.77 deg, rel. 67; d = 4.079 Å, 21.79 deg, rel. 31; d = 3.650 Å, 24.39 deg, rel. 24; d = 3.301 Å, 27.01 deg, rel. 48; d = 3.061 Å, 29.18 deg, rel. 39; d = 2.809 Å, 31.85 deg, rel. 55; d = 2.720 Å, 32.93 deg, rel. 100; d = 2.448 Å, 36.71 deg, rel. 35; d = 2.039 Å, 44.42 deg, rel. 21; d = 1.954 Å, 46.47 deg, rel. 75; d = 1.650 Å, 55.70 deg, rel. 21


This entry pairs a crystal structure of Tl2W8C3N3 with its simulated powder X-ray diffraction pattern. Radiation: copper Kα. Structure: a cell relaxed with GGA-PBE.
Kinematic intensities with the Lorentz-polarization factor, no thermal factor.

```
Tl2W8C3N3
1.0
3.159 0.000 0.000
-1.580 2.736 0.000
0.000 0.000 23.866
Tl W C N
2 8 3 3
direct
0.333 0.667 0.251
0.667 0.333 0.749
0.000 0.000 0.148
0.000 0.000 0.351
0.000 0.000 0.649
0.000 0.000 0.852
0.333 0.667 0.056
0.333 0.667 0.454
0.667 0.333 0.546
0.667 0.333 0.944
0.000 0.000 0.000
0.333 0.667 0.893
0.667 0.333 0.107
0.000 0.000 0.500
0.333 0.667 0.599
0.667 0.333 0.401
```

Principal peaks in the range 5° ≤ 2θ ≤ 70°, by angle:
d = 2.718 Å, 32.95 deg, rel. 41; d = 2.667 Å, 33.60 deg, rel. 12; d = 2.487 Å, 36.12 deg, rel. 90; d = 2.387 Å, 37.69 deg, rel. 55; d = 2.374 Å, 37.90 deg, rel. 100; d = 2.254 Å, 40.00 deg, rel. 77; d = 2.016 Å, 44.95 deg, rel. 11; d = 1.904 Å, 47.76 deg, rel. 15; d = 1.700 Å, 53.93 deg, rel. 14; d = 1.580 Å, 58.42 deg, rel. 56; d = 1.447 Å, 64.39 deg, rel. 21; d = 1.375 Å, 68.18 deg, rel. 16


This entry pairs a crystal structure of LaPrSb2Os2O2 with its simulated powder X-ray diffraction pattern. Radiation: copper Kα. Structure: a cell relaxed with GGA-PBE.
Kinematic intensities with the Lorentz-polarization factor, no thermal factor.

```
LaPrSb2Os2O2
1.0
4.261 0.000 0.000
0.000 4.261 0.000
0.000 0.000 8.739
La Pr Sb Os O
1 1 2 2 2
direct
0.000 0.000 0.000
0.500 0.500 0.743
0.000 0.000 0.549
0.500 0.500 0.203
0.000 0.500 0.376
0.500 0.000 0.376
0.000 0.500 0.873
0.500 0.000 0.873
```

Principal peaks in the range 5° ≤ 2θ ≤ 70°, by angle:
d = 8.739 Å, 10.12 deg, rel. 79; d = 4.370 Å, 20.32 deg, rel. 18; d = 3.051 Å, 29.28 deg, rel. 100; d = 2.848 Å, 31.41 deg, rel. 63; d = 2.480 Å, 36.22 deg, rel. 77; d = 2.405 Å, 37.40 deg, rel. 10; d = 2.130 Å, 42.43 deg, rel. 68; d = 2.094 Å, 43.20 deg, rel. 21; d = 1.769 Å, 51.68 deg, rel. 53; d = 1.747 Å, 52.38 deg, rel. 49; d = 1.506 Å, 61.56 deg, rel. 22; d = 1.351 Å, 69.58 deg, rel. 25